Diffraction record for ErMgSi2Pt2. The X-ray powder pattern is theoretical, not measured: it uses a crystal structure in Alexandria, relaxed with GGA-PBE and Cu Kα (weighted mean of Kα1 and Kα2).
Peak positions follow from Bragg's law for the DFT cell and can differ from measured ones.

Largest 6 diffraction maxima, sorted by position, 2θ = 5–70°:
(0 1 1), 27.69 deg, I = 100; (1 0 2), 36.23 deg, I = 75; (1 1 0), 42.66 deg, I = 57; (2 0 1), 51.62 deg, I = 19; (0 2 2), 57.18 deg, I = 20; (1 1 3), 60.07 deg, I = 20

```
data_ErMgSi2Pt2
_cell_length_a 4.2386
_cell_length_b 4.2386
_cell_length_c 6.7258
_cell_angle_alpha 90.00
_cell_angle_beta 90.00
_cell_angle_gamma 120.00
_space_group_name_H-M_alt 'P -3 m 1'
_space_group_IT_number 164
_space_group_name_Hall '-P 3 2"'
loop_
_atom_site_label
_atom_site_fract_x
_atom_site_fract_y
_atom_site_fract_z
Er1 0.0000 0.0000 0.0000
Mg1 0.0000 0.0000 0.5000
Si1 0.3333 0.6667 0.7131
Pt1 0.3333 0.6667 0.2907
```